Structure and simulated powder XRD pattern of Ag4BrF4 (a cell relaxed with GGA-PBE; a wavelength of 1.5418 Å).
Intensities are scaled so that the largest is 100.

Principal peaks in the range 2θ = 10–90°, by angle:
Position (°2θ), I (rel.)
11.7, 27
25.6, 33
26.2, 34
30.1, 33
30.8, 15
34.7, 100
34.8, 19
36.1, 41
49.3, 20
50.6, 22
51.2, 28
62.6, 16

Atomic structure:
```
data_Ag4BrF4
_space_group_name_H-M_alt 'C 1 2/m 1'
_space_group_IT_number 12
_space_group_name_Hall '-C 2y'
_cell_length_a 11.872
_cell_length_b 3.700
_cell_length_c 8.846
_cell_angle_alpha 90.00
_cell_angle_beta 121.04
_cell_angle_gamma 90.00
loop_
_atom_site_label
_atom_site_type_symbol
_atom_site_fract_x
_atom_site_fract_y
_atom_site_fract_z
Ag1 Ag 0.099 0.000 0.356
Ag2 Ag 0.222 0.500 0.817
Br1 Br 0.000 0.500 0.500
F1 F 0.125 0.000 0.892
F2 F 0.205 0.500 0.310
```